Entry 1:
# LaAlIr
Simulated XRD peak list, CuKα. Input: a cell relaxed with GGA-PBE.
No peak broadening, texture or thermal motion is included.

Main lines, by angle (15 to 90 degrees two-theta):
2θ/deg	intensity
25.94	56
32.15	100
40.62	18
41.39	52
43.97	15
49.50	10
53.35	24
61.97	32
66.44	8
69.69	21
73.38	9
75.48	9

Crystal structure
```
LaAlIr
1.0
4.3631 0.0000 0.0000
-2.1816 3.7786 0.0000
0.0000 0.0000 8.2370
La Al Ir
2 2 2
Direct
0.0000 0.0000 0.0000
0.0000 0.0000 0.5000
0.3333 0.6667 0.2502
0.6667 0.3333 0.7502
0.3333 0.6667 0.7518
0.6667 0.3333 0.2518
```

Entry 2:
# LiZn13
Simulated XRD peak list, CuKα. Input: a cell relaxed with GGA-PBE.
No peak broadening, texture or thermal motion is included.

Main lines, by angle (15 to 90 degrees two-theta):
2θ/deg	intensity
20.61	13
32.86	7
36.10	36
41.93	8
43.94	100
44.60	52
70.37	16
74.22	8
76.58	7
78.46	9
81.72	5
85.41	14

Crystal structure
```
LiZn13
1.0
0.0000 6.0948 6.0948
6.0948 0.0000 6.0948
6.0948 6.0948 0.0000
Li Zn
2 26
Direct
0.2500 0.2500 0.2500
0.7500 0.7500 0.7500
0.0000 0.0000 0.0000
0.0610 0.3010 0.6990
0.0610 0.6990 0.9390
0.0610 0.9390 0.3010
0.1990 0.4390 0.8010
0.1990 0.5610 0.4390
0.1990 0.8010 0.5610
0.3010 0.0610 0.9390
0.3010 0.6990 0.0610
0.3010 0.9390 0.6990
0.4390 0.1990 0.5610
0.4390 0.5610 0.8010
0.4390 0.8010 0.1990
0.5000 0.5000 0.5000
0.5610 0.1990 0.8010
0.5610 0.4390 0.1990
0.5610 0.8010 0.4390
0.6990 0.0610 0.3010
0.6990 0.3010 0.9390
0.6990 0.9390 0.0610
0.8010 0.1990 0.4390
0.8010 0.4390 0.5610
0.8010 0.5610 0.1990
0.9390 0.0610 0.6990
0.9390 0.3010 0.0610
0.9390 0.6990 0.3010
```

Entry 3:
# BaYAgTe2Se
Simulated XRD peak list, CuKα. Input: a cell relaxed with GGA-PBE.
No peak broadening, texture or thermal motion is included.

Main lines, by angle (15 to 90 degrees two-theta):
2θ/deg	intensity
27.04	49
27.92	71
28.55	100
30.83	77
31.40	58
31.97	59
39.13	22
40.66	46
41.00	54
47.60	38
52.53	22
59.11	18

Crystal structure
```
BaYAgTe2Se
1.0
7.4337 -2.2017 0.0000
7.4337 2.2017 0.0000
-0.6991 0.0000 11.3969
Ba Y Ag Te Se
2 2 2 4 2
Direct
0.2366 0.2366 0.2856
0.7634 0.7634 0.7144
0.0000 0.0000 0.0000
0.0000 0.0000 0.5000
0.4694 0.4694 0.7513
0.5306 0.5306 0.2487
0.0862 0.0862 0.7553
0.3573 0.3573 0.9358
0.6427 0.6427 0.0642
0.9138 0.9138 0.2447
0.3729 0.3729 0.5432
0.6271 0.6271 0.4568
```

Please write out number 1 again, unchanged.
# LaAlIr
Simulated XRD peak list, CuKα. Input: a cell relaxed with GGA-PBE.
No peak broadening, texture or thermal motion is included.

Main lines, by angle (15 to 90 degrees two-theta):
2θ/deg	intensity
25.94	56
32.15	100
40.62	18
41.39	52
43.97	15
49.50	10
53.35	24
61.97	32
66.44	8
69.69	21
73.38	9
75.48	9

Crystal structure
```
LaAlIr
1.0
4.3631 0.0000 0.0000
-2.1816 3.7786 0.0000
0.0000 0.0000 8.2370
La Al Ir
2 2 2
Direct
0.0000 0.0000 0.0000
0.0000 0.0000 0.5000
0.3333 0.6667 0.2502
0.6667 0.3333 0.7502
0.3333 0.6667 0.7518
0.6667 0.3333 0.2518
```